Calculated PXRD pattern of Mg2TaSbO6 for copper Kα, from a DFT-relaxed cell (GGA-PBE, the Materials Project).

Structure:
```
data_Mg2TaSbO6
_chemical_formula_sum 'Mg4 Ta2 Sb2 O12'
_symmetry_space_group_name_H-M 'P 1 21/m 1'
_symmetry_Int_Tables_number 11
_symmetry_space_group_name_Hall '-P 2yb'
_cell_length_a 5.5298
_cell_length_b 7.8761
_cell_length_c 5.5623
_cell_angle_alpha 90.00
_cell_angle_beta 93.03
_cell_angle_gamma 90.00
loop_
_atom_site_label
_atom_site_fract_x
_atom_site_fract_y
_atom_site_fract_z
_atom_site_occupancy
Mg1 0.0100 0.2500 0.4648 1
Mg2 0.4842 0.2500 0.9652 1
Ta1 0.0000 0.0000 0.0000 1
Sb1 0.5000 0.0000 0.5000 1
O1 0.1312 0.2500 0.0824 1
O2 0.1365 0.5703 0.3191 1
O3 0.3051 0.5725 0.8556 1
O4 0.3566 0.2500 0.6101 1
```

Principal peaks in the range 2θ = 10–90°, in order of rising 2θ:
hkl 1 0 -1, 2θ = 22.1°, I 72; hkl 0 2 0, 2θ = 22.6°, I 74; hkl 1 0 1, 2θ = 23.3°, I 68; hkl 1 2 -1, 2θ = 31.8°, I 100; hkl 0 0 2, 2θ = 32.2°, I 50; hkl 2 0 0, 2θ = 32.4°, I 45; hkl 1 2 1, 2θ = 32.7°, I 91; hkl 0 2 2, 2θ = 39.7°, I 26; hkl 2 2 0, 2θ = 39.9°, I 29; hkl 3 2 -1, 2θ = 56.9°, I 29

=====

Calculated PXRD pattern of Mg2TiSbO6 for copper Kα, from a DFT-relaxed cell (GGA-PBE, the Materials Project).

Structure:
```
data_Mg2TiSbO6
_chemical_formula_sum 'Mg4 Ti2 Sb2 O12'
_symmetry_space_group_name_H-M 'P 1 21/m 1'
_symmetry_Int_Tables_number 11
_symmetry_space_group_name_Hall '-P 2yb'
_cell_length_a 5.2543
_cell_length_b 7.7718
_cell_length_c 5.4190
_cell_angle_alpha 90.00
_cell_angle_beta 91.42
_cell_angle_gamma 90.00
loop_
_atom_site_label
_atom_site_fract_x
_atom_site_fract_y
_atom_site_fract_z
_atom_site_occupancy
Mg1 0.0051 0.2500 0.0376 1
Mg2 0.4872 0.7500 0.4375 1
Ti1 0.5000 0.0000 0.0000 1
Sb1 0.0000 0.0000 0.5000 1
O1 0.1322 0.2500 0.4236 1
O2 0.1873 0.5716 0.1745 1
O3 0.3381 0.5705 0.6851 1
O4 0.3709 0.2500 0.9268 1
```

Principal peaks in the range 2θ = 10–90°, in order of rising 2θ:
hkl 0 0 1, 2θ = 16.4°, I 35; hkl 1 0 0, 2θ = 16.9°, I 31; hkl 0 2 0, 2θ = 22.9°, I 56; hkl 1 0 -1, 2θ = 23.3°, I 53; hkl 1 0 1, 2θ = 23.9°, I 54; hkl 1 2 -1, 2θ = 32.9°, I 100; hkl 0 0 2, 2θ = 33.1°, I 48; hkl 1 2 1, 2θ = 33.3°, I 95; hkl 2 0 0, 2θ = 34.1°, I 40; hkl 3 2 -1, 2θ = 60.0°, I 31

=====

Calculated PXRD pattern of MgTl2Sb2O6 for copper Kα, from a DFT-relaxed cell (GGA-PBE, the Materials Project).

Structure:
```
data_MgTl2Sb2O6
_chemical_formula_sum 'Mg1 Tl2 Sb2 O6'
_symmetry_space_group_name_H-M 'P 1'
_symmetry_Int_Tables_number 1
_symmetry_space_group_name_Hall 'P 1'
_cell_length_a 5.7593
_cell_length_b 5.7606
_cell_length_c 8.3099
_cell_angle_alpha 69.81
_cell_angle_beta 69.74
_cell_angle_gamma 60.05
loop_
_atom_site_label
_atom_site_fract_x
_atom_site_fract_y
_atom_site_fract_z
_atom_site_occupancy
Mg1 0.0000 0.0000 0.0000 1
Tl1 0.1221 0.1258 0.6300 1
Tl2 0.3309 0.3320 0.0062 1
Sb1 0.5598 0.5625 0.3179 1
Sb2 0.8812 0.8840 0.3534 1
O1 0.1530 0.5527 0.4795 1
O2 0.2231 0.9265 0.1667 1
O3 0.5491 0.8175 0.4788 1
O4 0.6845 0.2240 0.1662 1
O5 0.8146 0.1567 0.4793 1
O6 0.9247 0.6851 0.1668 1
```

Principal peaks in the range 2θ = 10–90°, in order of rising 2θ:
hkl 0 1 0, 2θ = 18.2°, I 27; hkl 1 1 2, 2θ = 23.7°, I 100; hkl 1 0 2, 2θ = 26.4°, I 74; hkl 2 1 1, 2θ = 31.0°, I 89; hkl 0 2 2, 2θ = 39.4°, I 27; hkl 0 2 -1, 2θ = 41.2°, I 22; hkl 1 2 4, 2θ = 47.7°, I 60; hkl 2 3 3, 2θ = 51.0°, I 27; hkl 2 -1 2, 2θ = 52.5°, I 22; hkl 3 3 2, 2θ = 55.2°, I 24

=====

Calculated PXRD pattern of MgTl2Sb2O6 for copper Kα, from a DFT-relaxed cell (GGA-PBE, the Materials Project).

Structure:
```
data_MgTl2Sb2O6
_chemical_formula_sum 'Mg3 Tl6 Sb6 O18'
_symmetry_space_group_name_H-M 'R -3'
_symmetry_Int_Tables_number 148
_symmetry_space_group_name_Hall '-R 3'
_cell_length_a 5.5866
_cell_length_b 5.5866
_cell_length_c 24.1796
_cell_angle_alpha 90.00
_cell_angle_beta 90.00
_cell_angle_gamma 120.00
loop_
_atom_site_label
_atom_site_fract_x
_atom_site_fract_y
_atom_site_fract_z
_atom_site_occupancy
Mg1 0.0000 0.0000 0.0000 1
Tl1 0.0000 0.0000 0.1278 1
Sb1 0.0000 0.0000 0.3334 1
O1 0.9998 0.3343 0.6225 1
```

Principal peaks in the range 2θ = 10–90°, in order of rising 2θ:
hkl 1 0 1, 2θ = 18.7°, I 23; hkl 1 0 4, 2θ = 23.6°, I 100; hkl 0 1 5, 2θ = 26.1°, I 40; hkl 1 1 0, 2θ = 32.0°, I 72; hkl 1 1 6, 2θ = 39.2°, I 23; hkl 0 2 4, 2θ = 40.2°, I 25; hkl 1 1 9, 2θ = 46.9°, I 39; hkl 2 1 4, 2θ = 52.3°, I 24; hkl 3 0 0, 2θ = 57.1°, I 25; hkl 2 -1 15, 2θ = 67.0°, I 27

=====

Calculated PXRD pattern of MgTl2Sb2O6 for copper Kα, from a DFT-relaxed cell (GGA-PBE, the Materials Project).

Structure:
```
data_MgTl2Sb2O6
_chemical_formula_sum 'Mg3 Tl6 Sb6 O18'
_symmetry_space_group_name_H-M 'R -3'
_symmetry_Int_Tables_number 148
_symmetry_space_group_name_Hall '-R 3'
_cell_length_a 5.4562
_cell_length_b 5.4562
_cell_length_c 22.1959
_cell_angle_alpha 90.00
_cell_angle_beta 90.00
_cell_angle_gamma 120.00
loop_
_atom_site_label
_atom_site_fract_x
_atom_site_fract_y
_atom_site_fract_z
_atom_site_occupancy
Mg1 0.0000 0.0000 0.0000 1
Tl1 0.0000 0.0000 0.3762 1
Sb1 0.0000 0.0000 0.1683 1
O1 0.0036 0.3884 0.5515 1
```

Principal peaks in the range 2θ = 10–90°, in order of rising 2θ:
hkl 1 0 4, 2θ = 24.7°, I 100; hkl 0 1 5, 2θ = 27.6°, I 64; hkl 1 1 0, 2θ = 32.8°, I 78; hkl 2 -1 6, 2θ = 41.1°, I 16; hkl 0 2 4, 2θ = 41.5°, I 24; hkl 2 0 5, 2θ = 43.4°, I 19; hkl 2 -1 9, 2θ = 49.8°, I 39; hkl 3 -1 4, 2θ = 53.9°, I 24; hkl 3 -2 5, 2θ = 55.5°, I 19; hkl 3 0 0, 2θ = 58.6°, I 20

=====

Calculated PXRD pattern of MgZn2Sb4O12 for copper Kα, from a DFT-relaxed cell (GGA-PBE, the Materials Project).

Structure:
```
data_MgZn2Sb4O12
_chemical_formula_sum 'Mg1 Zn2 Sb4 O12'
_symmetry_space_group_name_H-M 'P -4'
_symmetry_Int_Tables_number 81
_symmetry_space_group_name_Hall 'P -4'
_cell_length_a 4.9798
_cell_length_b 4.9798
_cell_length_c 9.7384
_cell_angle_alpha 90.00
_cell_angle_beta 90.00
_cell_angle_gamma 90.00
loop_
_atom_site_label
_atom_site_fract_x
_atom_site_fract_y
_atom_site_fract_z
_atom_site_occupancy
Mg1 0.0000 0.0000 0.0000 1
Zn1 0.0000 0.5000 0.2506 1
Sb1 0.0000 0.5000 0.5683 1
Sb2 0.0000 0.5000 0.8873 1
O1 0.1860 0.6884 0.7298 1
O2 0.1922 0.7076 0.0851 1
O3 0.1995 0.6987 0.4225 1
```

Principal peaks in the range 2θ = 10–90°, in order of rising 2θ:
hkl 1 0 1, 2θ = 20.0°, I 14; hkl 1 1 0, 2θ = 25.3°, I 100; hkl 1 0 3, 2θ = 32.9°, I 69; hkl 2 0 0, 2θ = 36.1°, I 25; hkl 1 1 3, 2θ = 37.7°, I 13; hkl 2 1 3, 2θ = 49.6°, I 62; hkl 2 2 0, 2θ = 51.9°, I 20; hkl 1 3 0, 2θ = 58.6°, I 15; hkl 3 0 3, 2θ = 62.9°, I 19; hkl 3 2 3, 2θ = 74.7°, I 11